Calculated powder X-ray diffraction pattern of RbF3 for a wavelength of 1.5418 Å, from a structure optimized by DFT (GGA-PBE).
Peak positions follow from Bragg's law for the DFT cell and can differ from measured ones.

Main lines, sorted by position (2θ from 10° to 90°):
- 3.960 Å, 2θ = 22.4°, I = 50
- 3.909 Å, 2θ = 22.7°, I = 44
- 3.645 Å, 2θ = 24.4°, I = 31
- 3.593 Å, 2θ = 24.8°, I = 61
- 3.325 Å, 2θ = 26.8°, I = 100
- 2.738 Å, 2θ = 32.7°, I = 34
- 2.442 Å, 2θ = 36.8°, I = 68
- 2.439 Å, 2θ = 36.9°, I = 46
- 2.329 Å, 2θ = 38.7°, I = 43
- 2.190 Å, 2θ = 41.2°, I = 28
- 2.130 Å, 2θ = 42.4°, I = 34
- 1.954 Å, 2θ = 46.5°, I = 24

Cell and atoms:
Cell lengths 4.746, 7.186, 9.317 Å; angles 90.00, 90.13, 90.00 degrees
Fractional coordinates of all 16 atoms:
Rb 0.149 0.000 0.125
Rb 0.350 0.026 0.625
Rb 0.650 0.526 0.375
Rb 0.851 0.500 0.875
F 0.031 0.391 0.159
F 0.058 0.811 0.409
F 0.209 0.473 0.622
F 0.291 0.554 0.122
F 0.443 0.215 0.909
F 0.469 0.636 0.658
F 0.531 0.136 0.342
F 0.557 0.715 0.091
F 0.709 0.054 0.878
F 0.791 0.973 0.378
F 0.942 0.311 0.591
F 0.969 0.891 0.841